1.
# Ti3P4N2O18
Theoretical powder diffractogram, Cu Kα (weighted mean of Kα1 and Kα2). Input: a DFT-relaxed cell (GGA-PBE, the Materials Project).

Structure:
Cell lengths 5.4150, 17.0132, 8.5196 Å; angles 90.00, 90.98, 90.00 degrees
Space group P2_1 (No. 4)
Symmetry-distinct sites (fractional):
Ti 0.0314 0.0000 0.0984 x2
Ti 0.2606 0.6668 0.7493 x2
Ti 0.4479 0.3342 0.3975 x2
P 0.0563 0.7550 0.4258 x2
P 0.0745 0.8474 0.8282 x2
P 0.4461 0.4849 0.6744 x2
P 0.4634 0.5798 0.0756 x2
N 0.0700 0.0394 0.5769 x2
N 0.4689 0.2951 0.8696 x2
O 0.0119 0.5941 0.8188 x2
O 0.0488 0.8893 0.9851 x2
O 0.0739 0.6884 0.5493 x2
O 0.0810 0.7219 0.2580 x2
O 0.0968 0.7571 0.8478 x2
O 0.1565 0.3642 0.2761 x2
O 0.1952 0.2959 0.5598 x2
O 0.2302 0.4543 0.7769 x2
O 0.2423 0.5226 0.0644 x2
O 0.2658 0.8155 0.4504 x2
O 0.2947 0.0339 0.9468 x2
O 0.3047 0.8792 0.7406 x2
O 0.3104 0.9678 0.2337 x2
O 0.4252 0.5754 0.6535 x2
O 0.4373 0.4428 0.5175 x2
O 0.4461 0.6443 0.9478 x2
O 0.4767 0.6168 0.2407 x2
O 0.4909 0.2386 0.3194 x2

Largest 10 diffraction maxima, sorted by position, 2θ = 10–80°:
d [Å], Rel. int., index
7.617, 91.0, 0 1 1
6.019, 100.0, 0 2 1
5.159, 34.4, 1 1 0
4.721, 23.7, 0 3 1
4.535, 17.8, 1 0 1
4.050, 53.0, 1 2 -1
4.002, 16.6, 1 2 1
3.259, 53.0, 1 1 2
3.160, 44.1, 0 5 1
2.901, 36.8, 1 3 -2

2.
# TiP2NO8
Theoretical powder diffractogram, Cu Kα (weighted mean of Kα1 and Kα2). Input: a DFT-relaxed cell (GGA-PBE, the Materials Project).

Structure:
Cell lengths 5.1755, 6.3693, 11.4492 Å; angles 90.00, 96.85, 90.00 degrees
Space group P2_1/m (No. 11)
Symmetry-distinct sites (fractional):
Ti 0.2279 0.2500 0.3638 x2
P 0.2117 0.7500 0.4424 x2
P 0.3373 0.7500 0.8341 x2
N 0.0800 0.7500 0.1216 x2
O 0.0452 0.2500 0.5021 x2
O 0.1103 0.7500 0.7351 x2
O 0.2232 0.5548 0.3635 x4
O 0.3105 0.5634 0.9194 x4
O 0.4004 0.2500 0.2154 x2
O 0.4439 0.7500 0.5404 x2

Largest 10 diffraction maxima, sorted by position, 2θ = 10–80°:
d [Å], Rel. int., index
5.557, 100.0, 0 1 1
4.486, 21.3, 1 0 1
4.060, 61.4, 1 0 -2
3.999, 14.2, 1 1 0
3.668, 14.1, 1 1 1
3.604, 55.9, 1 0 2
3.185, 39.6, 0 2 0
3.067, 17.1, 0 2 1
2.888, 28.0, 1 1 -3
2.570, 14.9, 2 0 0

3.
# Tl4P4N4O9
Theoretical powder diffractogram, Cu Kα (weighted mean of Kα1 and Kα2). Input: a DFT-relaxed cell (GGA-PBE, the Materials Project).

Structure:
Cell lengths 9.3908, 9.9425, 10.5688 Å; angles 79.22, 82.25, 65.55 degrees
Space group P1 (No. 1)
Symmetry-distinct sites (fractional):
Tl 0.0000 0.0000 0.0000 x1
Tl 0.0240 0.4951 0.3374 x1
Tl 0.0983 0.6301 0.9032 x1
Tl 0.1551 0.7515 0.4718 x1
Tl 0.1984 0.2620 0.8181 x1
Tl 0.2568 0.1002 0.4197 x1
Tl 0.5319 0.2872 0.0201 x1
Tl 0.6710 0.9691 0.7823 x1
P 0.3543 0.6553 0.1355 x1
P 0.3946 0.9568 0.0989 x1
P 0.4591 0.4686 0.6596 x1
P 0.4958 0.7699 0.6166 x1
P 0.7065 0.4829 0.1894 x1
P 0.7456 0.7857 0.1430 x1
P 0.8122 0.2970 0.7067 x1
P 0.8465 0.6011 0.6677 x1
N 0.3556 0.8184 0.0720 x1
N 0.4404 0.6344 0.6816 x1
N 0.5156 0.5503 0.2075 x1
N 0.5627 0.8961 0.1616 x1
N 0.6431 0.3563 0.6437 x1
N 0.6860 0.7005 0.5932 x1
N 0.7604 0.6195 0.1243 x1
N 0.8469 0.4378 0.7340 x1
O 0.0841 0.8344 0.8370 x1
O 0.1166 0.4248 0.9717 x1
O 0.2138 0.6871 0.2329 x1
O 0.2624 0.0372 0.1926 x1
O 0.3490 0.5754 0.0276 x1
O 0.3763 0.4919 0.5386 x1
O 0.3908 0.4020 0.7831 x1
O 0.4087 0.0499 0.9682 x1
O 0.4181 0.8281 0.4874 x1
O 0.4536 0.8867 0.7048 x1
O 0.7512 0.3671 0.1003 x1
O 0.7782 0.4317 0.3197 x1
O 0.7916 0.2063 0.8371 x1
O 0.8151 0.8468 0.0172 x1
O 0.8311 0.7636 0.2622 x1
O 0.8507 0.6833 0.7743 x1
O 0.9475 0.2174 0.6164 x1
O 0.9886 0.5690 0.5711 x1

Largest 10 diffraction maxima, sorted by position, 2θ = 10–80°:
d [Å], Rel. int., index
8.531, 92.9, 1 0 0
5.806, 75.2, 1 1 -1
4.751, 65.0, -1 1 1
4.307, 100.0, 1 0 -2
4.010, 92.5, 1 1 -2
3.196, 56.2, 2 -1 1
3.139, 96.2, 2 3 1
3.004, 56.5, 3 2 0
2.986, 91.3, 0 3 1
2.951, 64.3, 1 3 -1

4.
# ZnP3NO9
Theoretical powder diffractogram, Cu Kα (weighted mean of Kα1 and Kα2). Input: a DFT-relaxed cell (GGA-PBE, the Materials Project).

Structure:
Cell lengths 6.6560, 6.6560, 9.9320 Å; angles 90.00, 90.00, 120.00 degrees
Space group P-6c2 (No. 188)
Symmetry-distinct sites (fractional):
Zn 0.0000 0.0000 0.0000 x2
P 0.3841 0.1060 0.2500 x6
N 0.3333 0.6667 0.0000 x2
O 0.2588 0.0017 0.1203 x12
O 0.4755 0.0943 0.7500 x6

Largest 10 diffraction maxima, sorted by position, 2θ = 10–80°:
d [Å], Rel. int., index
5.764, 86.7, 1 0 0
3.762, 100.0, 1 0 2
3.156, 39.2, 1 1 1
2.882, 13.0, 2 0 0
2.765, 60.7, 1 1 2
2.493, 14.7, 2 0 2
2.128, 12.7, 2 1 1
1.881, 16.5, 2 0 4
1.638, 23.0, 2 1 4
1.578, 12.7, 2 2 2

5.
# PbS2N2O8
Theoretical powder diffractogram, Cu Kα (weighted mean of Kα1 and Kα2). Input: a DFT-relaxed cell (GGA-PBE, the Materials Project).

Structure:
Cell lengths 5.6707, 5.6707, 22.7732 Å; angles 90.00, 90.00, 120.00 degrees
Space group R-3m (No. 166, hexagonal axes)
Symmetry-distinct sites (fractional):
Pb 0.0000 0.0000 0.0000 x3
S 0.0000 0.0000 0.3915 x6
N 0.0000 0.0000 0.1994 x6
O 0.0000 0.0000 0.3271 x6
O 0.0483 0.5242 0.2515 x18

Largest 10 diffraction maxima, sorted by position, 2θ = 10–80°:
d [Å], Rel. int., index
7.591, 100.0, 0 0 3
4.801, 23.1, 1 0 1
4.509, 65.1, 0 1 2
3.339, 65.0, 0 1 5
2.835, 44.5, 1 1 0
2.712, 14.9, 1 0 7
2.656, 47.6, 1 1 3
2.272, 27.7, 1 1 6
2.161, 15.9, 2 0 5
2.066, 19.0, 1 0 10

What did the third record say?
# Tl4P4N4O9
Theoretical powder diffractogram, Cu Kα (weighted mean of Kα1 and Kα2). Input: a DFT-relaxed cell (GGA-PBE, the Materials Project).

Structure:
Cell lengths 9.3908, 9.9425, 10.5688 Å; angles 79.22, 82.25, 65.55 degrees
Space group P1 (No. 1)
Symmetry-distinct sites (fractional):
Tl 0.0000 0.0000 0.0000 x1
Tl 0.0240 0.4951 0.3374 x1
Tl 0.0983 0.6301 0.9032 x1
Tl 0.1551 0.7515 0.4718 x1
Tl 0.1984 0.2620 0.8181 x1
Tl 0.2568 0.1002 0.4197 x1
Tl 0.5319 0.2872 0.0201 x1
Tl 0.6710 0.9691 0.7823 x1
P 0.3543 0.6553 0.1355 x1
P 0.3946 0.9568 0.0989 x1
P 0.4591 0.4686 0.6596 x1
P 0.4958 0.7699 0.6166 x1
P 0.7065 0.4829 0.1894 x1
P 0.7456 0.7857 0.1430 x1
P 0.8122 0.2970 0.7067 x1
P 0.8465 0.6011 0.6677 x1
N 0.3556 0.8184 0.0720 x1
N 0.4404 0.6344 0.6816 x1
N 0.5156 0.5503 0.2075 x1
N 0.5627 0.8961 0.1616 x1
N 0.6431 0.3563 0.6437 x1
N 0.6860 0.7005 0.5932 x1
N 0.7604 0.6195 0.1243 x1
N 0.8469 0.4378 0.7340 x1
O 0.0841 0.8344 0.8370 x1
O 0.1166 0.4248 0.9717 x1
O 0.2138 0.6871 0.2329 x1
O 0.2624 0.0372 0.1926 x1
O 0.3490 0.5754 0.0276 x1
O 0.3763 0.4919 0.5386 x1
O 0.3908 0.4020 0.7831 x1
O 0.4087 0.0499 0.9682 x1
O 0.4181 0.8281 0.4874 x1
O 0.4536 0.8867 0.7048 x1
O 0.7512 0.3671 0.1003 x1
O 0.7782 0.4317 0.3197 x1
O 0.7916 0.2063 0.8371 x1
O 0.8151 0.8468 0.0172 x1
O 0.8311 0.7636 0.2622 x1
O 0.8507 0.6833 0.7743 x1
O 0.9475 0.2174 0.6164 x1
O 0.9886 0.5690 0.5711 x1

Largest 10 diffraction maxima, sorted by position, 2θ = 10–80°:
d [Å], Rel. int., index
8.531, 92.9, 1 0 0
5.806, 75.2, 1 1 -1
4.751, 65.0, -1 1 1
4.307, 100.0, 1 0 -2
4.010, 92.5, 1 1 -2
3.196, 56.2, 2 -1 1
3.139, 96.2, 2 3 1
3.004, 56.5, 3 2 0
2.986, 91.3, 0 3 1
2.951, 64.3, 1 3 -1